[1]
Theoretical X-ray powder pattern
Compound: Fe
Radiation: Cu Kα X-rays
Structure: a DFT-relaxed cell (PBE, the Materials Project)
Lines closer than 0.1° are merged.

Structure:
```
Fe
1.0
0.000 1.726 1.855
1.700 0.000 1.855
1.700 1.726 0.000
Fe
1
Direct
0.000 0.000 0.000 Fe
```

Largest 8 diffraction maxima, low angle first, 2θ = 15–90°:
44.68 deg, I 100.0; 49.12 deg, I 18.5; 53.05 deg, I 14.4; 53.93 deg, I 13.7; 75.19 deg, I 9.2; 75.92 deg, I 9.0; 79.06 deg, I 8.0; 88.85 deg, I 11.8

***

[2]
Theoretical X-ray powder pattern
Compound: Fe
Radiation: Cu Kα X-rays
Structure: a DFT-relaxed cell (PBE, the Materials Project)
Lines closer than 0.1° are merged.

Structure:
```
Fe
1.0
1.221 -2.194 0.000
1.221 2.194 0.000
-0.009 0.000 3.977
Fe
2
Direct
0.158 0.842 0.750 Fe
0.842 0.158 0.250 Fe
```

Largest 10 diffraction maxima, low angle first, 2θ = 15–90°:
41.15 deg, I 9.6; 42.36 deg, I 32.4; 45.63 deg, I 43.0; 47.32 deg, I 64.3; 48.41 deg, I 100.0; 63.93 deg, I 8.5; 64.08 deg, I 8.5; 75.82 deg, I 16.1; 85.61 deg, I 9.9; 86.32 deg, I 8.1

***

[3]
Theoretical X-ray powder pattern
Compound: Fe
Radiation: Cu Kα X-rays
Structure: a DFT-relaxed cell (PBE, the Materials Project)
Lines closer than 0.1° are merged.

Structure:
```
Fe
1.0
8.618 0.000 0.000
0.000 8.618 0.000
0.000 0.000 4.574
Fe
28
Direct
0.019 0.367 0.000 Fe
0.031 0.229 0.500 Fe
0.095 0.095 0.000 Fe
0.133 0.519 0.500 Fe
0.215 0.785 0.246 Fe
0.215 0.785 0.754 Fe
0.229 0.031 0.500 Fe
0.271 0.531 0.000 Fe
0.285 0.285 0.254 Fe
0.285 0.285 0.746 Fe
0.367 0.019 0.000 Fe
0.405 0.595 0.500 Fe
0.469 0.729 0.000 Fe
0.481 0.867 0.500 Fe
0.519 0.133 0.500 Fe
0.531 0.271 0.000 Fe
0.595 0.405 0.500 Fe
0.633 0.981 0.000 Fe
0.715 0.715 0.254 Fe
0.715 0.715 0.746 Fe
0.729 0.469 0.000 Fe
0.771 0.969 0.500 Fe
0.785 0.215 0.246 Fe
0.785 0.215 0.754 Fe
0.867 0.481 0.500 Fe
0.905 0.905 0.000 Fe
0.969 0.771 0.500 Fe
0.981 0.633 0.000 Fe
```

Largest 10 diffraction maxima, low angle first, 2θ = 15–90°:
42.68 deg, I 47.6; 43.29 deg, I 57.7; 44.86 deg, I 57.3; 46.15 deg, I 39.2; 47.16 deg, I 30.3; 47.85 deg, I 100.0; 49.07 deg, I 26.8; 49.85 deg, I 55.5; 78.46 deg, I 24.3; 79.59 deg, I 22.0

***

[4]
Theoretical X-ray powder pattern
Compound: Fe
Radiation: Cu Kα X-rays
Structure: a DFT-relaxed cell (PBE, the Materials Project)
Lines closer than 0.1° are merged.

Structure:
```
Fe
1.0
2.490 0.000 0.000
-1.245 2.156 0.000
0.000 0.000 2.394
Fe
1
Direct
0.000 0.000 0.000 Fe
```

Largest 6 diffraction maxima, low angle first, 2θ = 15–90°:
37.57 deg, I 46.1; 41.89 deg, I 100.0; 57.52 deg, I 72.4; 76.52 deg, I 14.4; 80.20 deg, I 4.2; 88.53 deg, I 19.6

***

[5]
Theoretical X-ray powder pattern
Compound: Fe
Radiation: Cu Kα X-rays
Structure: a DFT-relaxed cell (PBE, the Materials Project)
Lines closer than 0.1° are merged.

Structure:
```
Fe
1.0
2.466 0.000 0.000
-1.233 2.135 0.000
0.000 0.000 3.900
Fe
2
Direct
0.333 0.667 0.250 Fe
0.667 0.333 0.750 Fe
```

Largest 6 diffraction maxima, low angle first, 2θ = 15–90°:
42.33 deg, I 25.7; 46.57 deg, I 25.5; 48.61 deg, I 100.0; 64.74 deg, I 13.0; 77.41 deg, I 14.8; 87.93 deg, I 15.8

***

[6]
Theoretical X-ray powder pattern
Compound: Fe
Radiation: Cu Kα X-rays
Structure: a DFT-relaxed cell (PBE, the Materials Project)
Lines closer than 0.1° are merged.

Structure:
```
Fe
1.0
0.000 1.942 1.965
1.498 0.000 1.965
1.498 1.942 0.000
Fe
1
Direct
0.000 0.000 0.000 Fe
```

Largest 9 diffraction maxima, low angle first, 2θ = 15–90°:
44.61 deg, I 100.0; 46.20 deg, I 22.4; 46.78 deg, I 21.5; 61.93 deg, I 8.6; 67.86 deg, I 12.7; 80.63 deg, I 7.5; 81.06 deg, I 7.4; 84.48 deg, I 13.3; 85.33 deg, I 12.9

***

[7]
Theoretical X-ray powder pattern
Compound: Fe
Radiation: Cu Kα X-rays
Structure: a DFT-relaxed cell (PBE, the Materials Project)
Lines closer than 0.1° are merged.

Structure:
```
Fe
1.0
2.376 0.000 0.000
0.000 2.376 0.000
0.000 0.000 2.376
Fe
1
Direct
0.000 0.000 0.000 Fe
```

Largest 4 diffraction maxima, low angle first, 2θ = 15–90°:
37.87 deg, I 100.0; 54.64 deg, I 63.5; 68.40 deg, I 20.2; 80.93 deg, I 9.1

***

[8]
Theoretical X-ray powder pattern
Compound: GaFe2
Radiation: Cu Kα X-rays
Structure: a DFT-relaxed cell (PBE, the Materials Project)
Lines closer than 0.1° are merged.

Structure:
```
GaFe2
1.0
2.653 0.000 0.000
-1.327 2.298 0.000
0.000 0.000 6.339
Ga Fe
1 2
Direct
0.000 0.000 0.000 Ga
0.333 0.667 0.667 Fe
0.667 0.333 0.333 Fe
```

Largest 10 diffraction maxima, low angle first, 2θ = 15–90°:
39.21 deg, I 0.7; 41.82 deg, I 100.0; 42.80 deg, I 30.9; 48.97 deg, I 61.6; 59.43 deg, I 0.5; 71.07 deg, I 18.5; 72.45 deg, I 17.6; 86.00 deg, I 10.9; 86.66 deg, I 21.3; 87.97 deg, I 10.4

***

[9]
Theoretical X-ray powder pattern
Compound: GaFe
Radiation: Cu Kα X-rays
Structure: a DFT-relaxed cell (PBE, the Materials Project)
Lines closer than 0.1° are merged.

Structure:
```
GaFe
1.0
2.748 0.000 0.000
-1.374 2.380 0.000
0.000 0.000 4.031
Ga Fe
1 1
Direct
0.000 0.000 0.000 Ga
0.667 0.333 0.500 Fe
```

Largest 10 diffraction maxima, low angle first, 2θ = 15–90°:
22.05 deg, I 1.4; 37.80 deg, I 27.2; 44.19 deg, I 100.0; 44.98 deg, I 21.0; 60.16 deg, I 13.2; 68.26 deg, I 16.8; 80.76 deg, I 2.7; 82.43 deg, I 14.6; 84.98 deg, I 13.5; 85.54 deg, I 17.6

***

[10]
Theoretical X-ray powder pattern
Compound: GaFe2
Radiation: Cu Kα X-rays
Structure: a DFT-relaxed cell (PBE, the Materials Project)
Lines closer than 0.1° are merged.

Structure:
```
GaFe2
1.0
0.000 2.117 5.949
1.508 0.000 5.949
1.508 2.117 0.000
Ga Fe
1 2
Direct
0.000 0.000 0.000 Ga
0.330 0.330 0.670 Fe
0.670 0.670 0.330 Fe
```

Largest 10 diffraction maxima, low angle first, 2θ = 15–90°:
37.38 deg, I 1.2; 42.70 deg, I 26.2; 43.33 deg, I 100.0; 45.75 deg, I 21.0; 61.49 deg, I 8.2; 64.37 deg, I 14.1; 77.75 deg, I 7.9; 78.63 deg, I 15.3; 79.92 deg, I 7.3; 82.94 deg, I 13.0

***

[11]
Theoretical X-ray powder pattern
Compound: Ga3Fe
Radiation: Cu Kα X-rays
Structure: a DFT-relaxed cell (PBE, the Materials Project)
Lines closer than 0.1° are merged.

Structure:
```
Ga3Fe
1.0
6.267 0.000 0.000
0.000 6.267 0.000
0.000 0.000 6.581
Ga Fe
12 4
Direct
0.000 0.500 0.000 Ga
0.000 0.500 0.500 Ga
0.156 0.156 0.237 Ga
0.156 0.156 0.763 Ga
0.344 0.656 0.263 Ga
0.344 0.656 0.737 Ga
0.500 0.000 0.000 Ga
0.500 0.000 0.500 Ga
0.656 0.344 0.263 Ga
0.656 0.344 0.737 Ga
0.844 0.844 0.237 Ga
0.844 0.844 0.763 Ga
0.156 0.844 0.000 Fe
0.344 0.344 0.500 Fe
0.656 0.656 0.500 Fe
0.844 0.156 0.000 Fe
```

Largest 10 diffraction maxima, low angle first, 2θ = 15–90°:
19.56 deg, I 24.7; 31.93 deg, I 20.3; 33.93 deg, I 38.4; 39.72 deg, I 27.5; 42.36 deg, I 100.0; 45.78 deg, I 55.9; 55.88 deg, I 16.1; 67.93 deg, I 13.1; 75.03 deg, I 23.0; 89.28 deg, I 15.1

***

[12]
Theoretical X-ray powder pattern
Compound: GaFe4
Radiation: Cu Kα X-rays
Structure: a DFT-relaxed cell (PBE, the Materials Project)
Lines closer than 0.1° are merged.

Structure:
```
GaFe4
1.0
0.000 2.068 9.947
1.480 0.000 9.947
1.480 2.068 0.000
Ga Fe
1 4
Direct
0.000 0.000 0.000 Ga
0.200 0.200 0.800 Fe
0.398 0.398 0.602 Fe
0.602 0.602 0.398 Fe
0.800 0.800 0.200 Fe
```

Largest 9 diffraction maxima, low angle first, 2θ = 15–90°:
43.79 deg, I 25.3; 43.97 deg, I 100.0; 45.60 deg, I 22.3; 62.79 deg, I 8.0; 65.06 deg, I 14.1; 79.68 deg, I 7.6; 80.58 deg, I 14.7; 80.97 deg, I 7.3; 83.16 deg, I 13.4